Computed X-ray diffraction stick pattern of Rb2ZrS4 for Cu Kα X-rays, from a crystal structure in the Materials Project, relaxed with PBE.
Peak positions follow from Bragg's law for the DFT cell and can differ from measured ones.

Most intense lines, 15 to 90 degrees two-theta, in order of rising 2θ:
2θ (°)	d (Å)	I_rel
22.5	3.957	60.4
23.6	3.764	56.2
24.1	3.689	100.0
28.0	3.184	58.0
30.1	2.965	47.1
32.1	2.791	43.6

Crystal structure
```
Rb2ZrS4
1.0
6.8430 0.0000 0.0000
0.0000 24.4225 0.0000
0.0000 0.0000 9.8958
Rb Zr S
16 8 32
Cartesian
0.3395 4.8744 0.6806
0.3395 7.3368 5.6285
1.3320 13.0312 3.5515
1.3320 23.6026 8.4993
2.0894 0.8200 3.5515
2.0894 11.3913 8.4993
3.0820 17.0857 0.6806
3.0820 19.5481 5.6285
3.7610 4.8744 4.2673
3.7610 7.3368 9.2152
4.7535 13.0312 1.3964
4.7535 23.6026 6.3443
5.5109 0.8200 1.3964
5.5109 11.3913 6.3443
6.5035 17.0857 4.2673
6.5035 19.5481 9.2152
0.2599 3.1898 6.6675
0.2599 9.0215 1.7197
3.1616 15.4010 6.6675
3.1616 21.2328 1.7197
3.6814 3.1898 8.1761
3.6814 9.0215 3.2282
6.5830 15.4010 8.1761
6.5830 21.2328 3.2282
0.3676 3.8712 4.1501
0.3676 8.3401 9.0979
0.8418 14.3974 0.4194
0.8418 22.2364 5.3672
1.0463 13.8644 6.6576
1.0463 22.7694 1.7098
1.5177 17.1173 7.5699
1.5177 19.5164 2.6220
1.9037 4.9061 7.5699
1.9037 7.3052 2.6220
2.3752 1.6531 6.6576
2.3752 10.5581 1.7098
2.5797 2.1861 0.4194
2.5797 10.0251 5.3672
3.0539 16.0824 4.1501
3.0539 20.5513 9.0979
3.7891 3.8712 0.7978
3.7891 8.3401 5.7457
4.2633 14.3974 4.5285
4.2633 22.2364 9.4764
4.4677 13.8644 8.1860
4.4677 22.7694 3.2381
4.9392 17.1173 7.2738
4.9392 19.5164 2.3259
5.3252 4.9061 7.2738
5.3252 7.3052 2.3259
5.7967 1.6531 8.1860
5.7967 10.5581 3.2381
6.0012 2.1861 4.5285
6.0012 10.0251 9.4764
6.4753 16.0824 0.7978
6.4753 20.5513 5.7457
```

Computed X-ray diffraction stick pattern of La2Nb2N2O5 for Cu Kα X-rays, from a crystal structure in the Materials Project, relaxed with PBE.
Peak positions follow from Bragg's law for the DFT cell and can differ from measured ones.

Most intense lines, 15 to 90 degrees two-theta, in order of rising 2θ:
2θ (°)	d (Å)	I_rel
28.7	3.112	100.0
33.2	2.695	33.2
47.7	1.906	45.2
56.6	1.626	35.5
59.4	1.556	10.7
77.1	1.237	11.0

Crystal structure
```
La2Nb2N2O5
1.0
5.3833 -5.3928 0.0000
5.3833 5.3928 0.0000
-5.3748 0.0000 5.3937
La Nb N O
4 4 4 10
Cartesian
-1.3429 0.0000 1.3623
-1.3433 -2.6375 4.0179
6.7351 -2.6375 1.3759
6.7347 0.0000 4.0314
3.9924 0.0864 1.2754
1.3994 0.0864 4.1183
1.3896 -2.7222 1.3791
4.0022 -2.7222 4.0147
2.6959 4.0641 2.6969
3.3084 1.3822 0.0244
2.0835 1.3822 5.3693
2.6959 -3.3975 2.6969
5.3833 3.5707 0.0000
0.0261 1.3715 3.2483
0.5366 -1.3190 2.6966
2.7021 -1.3131 0.5773
2.6959 0.7740 2.6969
5.3833 -0.7596 0.0000
5.3657 1.3715 2.1455
2.6898 -1.3131 4.8165
4.8552 -1.3190 2.6971
5.3833 -3.9925 0.0000
```